Theoretical X-ray powder pattern
Compound: Pa2MnCu2N6
Radiation: Cu Kα X-rays
Structure: a crystal structure in Alexandria, relaxed with GGA-PBE
Neutral-atom scattering factors, no anomalous dispersion.

Crystal structure
```
Pa2MnCu2N6
1.0
2.846 1.643 4.890
-2.846 1.643 4.890
0.000 -3.286 4.890
Pa Mn Cu N
2 1 2 6
direct
0.202 0.202 0.202
0.798 0.798 0.798
0.000 0.000 0.000
0.409 0.409 0.409
0.591 0.591 0.591
0.205 0.762 0.762
0.238 0.238 0.795
0.238 0.795 0.238
0.762 0.205 0.762
0.762 0.762 0.205
0.795 0.238 0.238
```

Main lines, in order of falling intensity (10° ≤ 2θ ≤ 80°):
two_theta	Rel. int.
31.43	100
35.61	72
58.70	37
48.22	34
21.72	32
18.14	27